No. 1
This entry pairs a crystal structure of Na2MgNb2Cu4S8 with its simulated powder X-ray diffraction pattern. Radiation: Cu Ka. Structure: a structure optimized by DFT (GGA-PBE).
Lines closer than 0.1° are merged.

Peak list (10 most intense, 2θ = 10–80°, in order of rising 2θ)
Position (°2θ)  d [Å]  I/Imax  (hkl)
15.07  5.877  100  0 1 1
16.17  5.483  32  1 0 -1
28.61  3.120  35  1 0 -3
31.76  2.818  16  1 2 1
34.80  2.578  17  2 1 -2
38.72  2.325  17  0 0 4
44.12  2.053  55  2 2 1
48.00  1.895  15  0 4 0
48.98  1.860  16  0 0 5
49.51  1.841  17  2 2 2

Cell and atoms:
Cell lengths 5.7371, 7.5814, 9.7402 Å; angles 90.00, 107.20, 90.00 degrees
Space group Pm (No. 6)
Asymmetric unit:
Na1 0.0000 0.0000 0.0000 (multiplicity 1)
Na2 0.3539 0.5000 0.7063 (multiplicity 1)
Mg1 0.7962 0.5000 0.3933 (multiplicity 1)
Nb1 0.2306 0.0000 0.5666 (multiplicity 1)
Nb2 0.9942 0.5000 0.1260 (multiplicity 1)
Cu1 0.1053 0.2457 0.3431 (multiplicity 2)
Cu2 0.4981 0.5000 0.1151 (multiplicity 1)
Cu3 0.7162 0.0000 0.5524 (multiplicity 1)
S1 0.1524 0.5000 0.9319 (multiplicity 1)
S2 0.3491 0.5000 0.3364 (multiplicity 1)
S3 0.3500 0.0000 0.3514 (multiplicity 1)
S4 0.5810 0.0000 0.7547 (multiplicity 1)
S5 0.7552 0.2525 0.1330 (multiplicity 2)
S6 0.9711 0.2480 0.5559 (multiplicity 2)

No. 2
This entry pairs a crystal structure of Cr2CdS4 with its simulated powder X-ray diffraction pattern. Radiation: Cu Ka. Structure: a structure optimized by DFT (GGA-PBE).
Lines closer than 0.1° are merged.

Peak list (10 most intense, 2θ = 10–80°, in order of rising 2θ)
Position (°2θ)  d [Å]  I/Imax  (hkl)
24.38  3.651  66  2 2 0
28.67  3.113  100  3 1 1
34.75  2.581  12  4 0 0
37.99  2.369  10  3 3 1
42.91  2.108  24  4 2 2
45.66  1.987  55  5 1 1
49.97  1.825  66  4 4 0
58.63  1.575  13  5 3 3
67.94  1.380  16  6 4 2
69.99  1.344  18  5 5 3

Cell and atoms:
Cell lengths 10.3253, 10.3253, 10.3253 Å; angles 90.00, 90.00, 90.00 degrees
Space group Fd-3m (No. 227, origin choice 2)
Asymmetric unit:
Cr1 0.0000 0.0000 0.0000 (multiplicity 16)
Cd1 0.1250 0.1250 0.6250 (multiplicity 8)
S1 0.0162 0.0162 0.2338 (multiplicity 32)